No. 1
The following is a computed PXRD pattern of Na6ZnH4S4O18. It was derived from DFT lattice parameters and positions (PBE), using Cu Kα, 1.54184 Å.

Most intense lines, 5° ≤ 2θ ≤ 70°, in order of rising 2θ:
index, 2θ/deg, I/Imax
0 1 0, 13.83, 37
1 1 1, 17.45, 100
1 0 2, 22.04, 59
1 2 1, 27.10, 62
0 2 0, 27.86, 37
-1 1 2, 28.17, 66
1 0 3, 29.83, 73
2 0 0, 30.20, 57
1 0 -3, 34.36, 42
2 0 3, 38.12, 38

```
Na6ZnH4S4O18
1.0
6.190 0.000 0.000
1.715 6.705 0.000
2.382 2.931 9.460
Na Zn H S O
6 1 4 4 18
Cartesian
1.462 2.374 3.123 Na
4.118 3.338 5.117 Na
5.302 4.617 8.435 Na
4.984 5.018 1.025 Na
6.168 6.298 4.344 Na
8.824 7.262 6.338 Na
0.000 0.000 0.000 Zn
1.481 4.585 1.274 H
3.944 7.181 9.128 H
6.342 2.455 0.332 H
8.805 5.051 8.186 H
2.843 5.846 3.056 S
5.971 7.729 7.544 S
4.315 1.907 1.916 S
7.444 3.790 6.404 S
1.752 4.822 2.950 O
1.695 2.710 5.484 O
3.004 4.855 9.088 O
3.108 6.429 1.687 O
4.708 6.914 7.608 O
5.704 9.082 8.167 O
4.110 5.218 3.525 O
3.235 2.591 1.168 O
3.898 1.714 3.328 O
6.388 7.921 6.132 O
7.051 7.045 8.293 O
6.176 4.418 5.935 O
4.582 0.554 1.293 O
5.578 2.722 1.852 O
7.178 3.207 7.773 O
7.282 4.780 0.372 O
8.591 6.926 3.976 O
8.535 4.814 6.511 O
```

---

No. 2
The following is a computed PXRD pattern of Na2ZnH8S2O12. It was derived from DFT lattice parameters and positions (PBE), using Cu Kα, 1.54184 Å.

Most intense lines, 5° ≤ 2θ ≤ 70°, in order of rising 2θ:
index, 2θ/deg, I/Imax
0 1 1, 13.28, 24
0 0 2, 16.11, 20
0 1 2, 19.31, 56
1 0 -2, 20.88, 35
1 1 1, 22.01, 21
0 1 3, 26.49, 21
1 2 0, 26.80, 100
1 1 2, 26.97, 33
1 2 -1, 27.22, 18
1 0 -4, 33.90, 25

```
Na2ZnH8S2O12
1.0
5.555 0.000 0.000
0.000 8.369 0.000
-1.852 0.000 11.023
Na Zn H S O
4 2 16 4 24
Cartesian
-0.006 0.602 4.008 Na
-0.932 3.583 9.519 Na
4.636 4.786 1.504 Na
3.710 7.767 7.016 Na
0.000 0.000 0.000 Zn
-0.926 4.184 5.512 Zn
0.614 5.295 3.779 H
-0.312 7.258 9.290 H
-0.217 0.480 9.008 H
0.709 3.704 3.497 H
1.346 6.100 0.095 H
0.420 6.454 5.607 H
0.648 5.837 7.017 H
1.574 6.716 1.506 H
2.130 1.653 9.518 H
3.056 2.531 4.006 H
3.284 1.915 5.417 H
2.358 2.269 10.928 H
2.995 4.664 7.526 H
3.921 7.889 2.015 H
4.016 1.110 1.733 H
3.090 3.074 7.245 H
0.937 1.781 7.029 S
1.863 2.403 1.517 S
1.841 5.966 9.506 S
2.766 6.587 3.994 S
0.076 4.459 3.693 O
-0.850 8.094 9.205 O
-0.062 5.986 6.340 O
0.864 6.567 0.828 O
0.168 0.705 6.378 O
1.094 3.480 0.866 O
1.628 1.090 0.853 O
0.703 3.094 6.364 O
0.359 5.687 9.593 O
1.285 6.867 4.082 O
0.581 1.867 8.491 O
1.507 2.317 2.980 O
2.197 6.051 8.043 O
3.123 6.502 2.532 O
2.419 1.502 6.942 O
3.344 2.682 1.430 O
3.001 5.275 4.659 O
2.076 7.278 10.171 O
2.610 4.889 10.157 O
3.536 7.664 4.645 O
2.840 1.801 10.195 O
3.766 2.383 4.683 O
4.554 0.275 1.819 O
3.628 3.910 7.330 O
```

---

No. 3
The following is a computed PXRD pattern of NaHSeO4. It was derived from DFT lattice parameters and positions (PBE), using Cu Kα, 1.54184 Å.

Most intense lines, 5° ≤ 2θ ≤ 70°, in order of rising 2θ:
index, 2θ/deg, I/Imax
1 0 1, 19.37, 40
0 1 -1, 20.45, 84
0 1 1, 20.99, 85
1 1 0, 22.22, 85
1 1 1, 23.52, 44
1 -1 0, 25.35, 41
1 0 -1, 25.84, 73
1 -1 1, 26.07, 100
0 0 2, 27.80, 46
1 1 2, 31.75, 64

```
NaHSeO4
1.0
5.162 0.000 0.000
0.748 5.761 0.000
1.919 -0.166 6.419
Na H Se O
2 2 2 8
Cartesian
0.000 0.000 0.000 Na
2.028 2.736 4.464 Na
3.712 4.039 2.127 H
5.987 1.385 2.403 H
2.577 2.590 0.648 Se
4.560 0.049 3.696 Se
1.701 1.275 1.175 O
3.630 3.458 6.119 O
3.221 0.617 4.468 O
2.898 3.421 2.183 O
4.985 5.057 2.239 O
5.940 1.981 6.415 O
6.282 4.903 4.668 O
5.431 1.524 3.268 O
```

---

No. 4
The following is a computed PXRD pattern of NaH3Se2O6. It was derived from DFT lattice parameters and positions (PBE), using Cu Kα, 1.54184 Å.

Most intense lines, 5° ≤ 2θ ≤ 70°, in order of rising 2θ:
index, 2θ/deg, I/Imax
0 0 2, 17.03, 18
1 0 0, 17.14, 20
1 1 -1, 23.30, 48
1 1 0, 24.61, 100
1 1 -2, 25.02, 52
1 0 2, 29.47, 16
1 0 -4, 30.41, 15
2 0 -2, 30.59, 34
0 1 3, 31.29, 51
0 2 1, 36.67, 19

```
NaH3Se2O6
1.0
5.849 0.000 0.000
0.000 5.043 0.000
-5.484 0.000 10.411
Na H Se O
2 6 4 12
Cartesian
0.000 1.248 0.000 Na
-2.742 3.795 5.205 Na
-2.117 1.405 6.903 H
0.625 3.638 1.698 H
2.994 1.502 0.096 H
0.252 3.542 5.301 H
2.358 1.020 3.440 H
-0.384 4.023 8.645 H
0.053 0.587 3.448 Se
-2.689 4.456 8.653 Se
0.186 1.807 6.988 Se
2.928 3.236 1.783 Se
-2.989 0.237 7.188 O
-0.247 4.806 1.983 O
-3.302 0.407 9.890 O
-0.559 4.636 4.685 O
-1.527 2.244 6.652 O
1.215 2.800 1.446 O
1.837 0.170 3.665 O
-0.906 4.874 8.870 O
3.628 2.253 0.469 O
0.886 2.790 5.674 O
3.231 2.335 3.168 O
0.489 2.708 8.373 O
```

---

What did the third record say?
The following is a computed PXRD pattern of NaHSeO4. It was derived from DFT lattice parameters and positions (PBE), using Cu Kα, 1.54184 Å.

Most intense lines, 5° ≤ 2θ ≤ 70°, in order of rising 2θ:
index, 2θ/deg, I/Imax
1 0 1, 19.37, 40
0 1 -1, 20.45, 84
0 1 1, 20.99, 85
1 1 0, 22.22, 85
1 1 1, 23.52, 44
1 -1 0, 25.35, 41
1 0 -1, 25.84, 73
1 -1 1, 26.07, 100
0 0 2, 27.80, 46
1 1 2, 31.75, 64

```
NaHSeO4
1.0
5.162 0.000 0.000
0.748 5.761 0.000
1.919 -0.166 6.419
Na H Se O
2 2 2 8
Cartesian
0.000 0.000 0.000 Na
2.028 2.736 4.464 Na
3.712 4.039 2.127 H
5.987 1.385 2.403 H
2.577 2.590 0.648 Se
4.560 0.049 3.696 Se
1.701 1.275 1.175 O
3.630 3.458 6.119 O
3.221 0.617 4.468 O
2.898 3.421 2.183 O
4.985 5.057 2.239 O
5.940 1.981 6.415 O
6.282 4.903 4.668 O
5.431 1.524 3.268 O
```

---

Q: Number 2 is which compound?
A: Na2ZnH8S2O12